(1)
Structure and calculated X-ray powder pattern of Li2BeF5 (DFT lattice parameters and positions (GGA-PBE); a wavelength of 1.5418 Å).

The 10 most intense peaks (15 to 90 degrees two-theta), low angle first:
2θ/deg, I_rel
15.5, 48
18.5, 47
21.5, 62
37.7, 38
39.2, 100
40.2, 95
44.4, 26
55.1, 21
59.6, 24
77.1, 16

Atomic structure:
Cell lengths 8.053, 8.167, 5.936 Å; angles 90.00, 90.00, 90.00 degrees
Fractional positions:
Li (0.000, 0.000, 0.223)
Li (0.000, 0.000, 0.777)
Li (0.133, 0.380, 0.500)
Li (0.367, 0.880, 0.000)
Li (0.500, 0.500, 0.277)
Li (0.500, 0.500, 0.723)
Li (0.633, 0.120, 0.000)
Li (0.867, 0.620, 0.500)
Be (0.244, 0.248, 0.000)
Be (0.256, 0.748, 0.500)
Be (0.744, 0.252, 0.500)
Be (0.756, 0.752, 0.000)
F (0.077, 0.098, 0.500)
F (0.082, 0.145, 0.000)
F (0.108, 0.623, 0.500)
F (0.244, 0.852, 0.278)
F (0.244, 0.852, 0.722)
F (0.256, 0.352, 0.222)
F (0.256, 0.352, 0.778)
F (0.392, 0.123, 0.000)
F (0.418, 0.645, 0.500)
F (0.423, 0.598, 0.000)
F (0.577, 0.402, 0.000)
F (0.582, 0.355, 0.500)
F (0.608, 0.877, 0.000)
F (0.744, 0.648, 0.222)
F (0.744, 0.648, 0.778)
F (0.756, 0.148, 0.278)
F (0.756, 0.148, 0.722)
F (0.892, 0.377, 0.500)
F (0.918, 0.855, 0.000)
F (0.923, 0.902, 0.500)

=====

(2)
Structure and calculated X-ray powder pattern of NaPb6F12 (DFT lattice parameters and positions (GGA-PBE); a wavelength of 1.5418 Å).

The 10 most intense peaks (15 to 90 degrees two-theta), low angle first:
2θ/deg, I_rel
16.2, 17
25.4, 35
26.2, 100
30.1, 45
42.6, 39
43.6, 36
50.2, 18
51.2, 32
51.6, 14
69.9, 12

Atomic structure:
Cell lengths 7.242, 7.242, 7.242 Å; angles 98.52, 98.52, 98.52 degrees
Fractional positions:
Na (0.000, 0.000, 0.000)
Pb (0.139, 0.590, 0.278)
Pb (0.278, 0.139, 0.590)
Pb (0.410, 0.722, 0.861)
Pb (0.590, 0.278, 0.139)
Pb (0.722, 0.861, 0.410)
Pb (0.861, 0.410, 0.722)
F (0.043, 0.912, 0.316)
F (0.088, 0.684, 0.957)
F (0.178, 0.462, 0.610)
F (0.316, 0.043, 0.912)
F (0.390, 0.822, 0.538)
F (0.462, 0.610, 0.178)
F (0.538, 0.390, 0.822)
F (0.610, 0.178, 0.462)
F (0.684, 0.957, 0.088)
F (0.822, 0.538, 0.390)
F (0.912, 0.316, 0.043)
F (0.957, 0.088, 0.684)

=====

(3)
Structure and calculated X-ray powder pattern of Sr2Si4Ir3 (DFT lattice parameters and positions (GGA-PBE); a wavelength of 1.5418 Å).

The 10 most intense peaks (15 to 90 degrees two-theta), low angle first:
2θ/deg, I_rel
28.6, 60
34.8, 33
35.6, 54
36.1, 87
38.4, 64
38.7, 48
39.2, 100
45.3, 27
47.5, 38
59.3, 31

Atomic structure:
Cell lengths 7.838, 6.646, 5.794 Å; angles 77.77, 55.96, 46.27 degrees
Fractional positions:
Sr (0.136, 0.136, 0.864)
Sr (0.864, 0.864, 0.136)
Si (0.166, 0.532, 0.468)
Si (0.468, 0.834, 0.166)
Si (0.532, 0.166, 0.834)
Si (0.834, 0.468, 0.532)
Ir (0.000, 0.000, 0.500)
Ir (0.500, 0.500, 0.000)
Ir (0.500, 0.500, 0.500)

=====

(4)
Structure and calculated X-ray powder pattern of SrBeZn2Ir2 (DFT lattice parameters and positions (GGA-PBE); a wavelength of 1.5418 Å).

The 10 most intense peaks (15 to 90 degrees two-theta), low angle first:
2θ/deg, I_rel
15.7, 57
33.2, 100
38.0, 18
41.6, 46
43.5, 39
44.7, 17
57.4, 18
60.3, 15
70.6, 23
77.3, 14

Atomic structure:
Cell lengths 4.341, 4.341, 5.656 Å; angles 90.00, 90.00, 90.00 degrees
Fractional positions:
Sr (0.000, 0.000, 0.000)
Be (0.000, 0.000, 0.500)
Zn (0.500, 0.500, 0.240)
Zn (0.500, 0.500, 0.760)
Ir (0.000, 0.500, 0.500)
Ir (0.500, 0.000, 0.500)

=====

(5)
Structure and calculated X-ray powder pattern of Li5Tl4Bi (DFT lattice parameters and positions (GGA-PBE); a wavelength of 1.5418 Å).

The 10 most intense peaks (15 to 90 degrees two-theta), low angle first:
2θ/deg, I_rel
23.6, 62
26.1, 100
35.5, 99
37.3, 44
44.6, 48
55.8, 24
59.5, 21
60.7, 20
62.6, 19
66.0, 34

Atomic structure:
Cell lengths 3.414, 3.414, 18.813 Å; angles 90.00, 90.00, 90.00 degrees
Fractional positions:
Li (0.000, 0.000, 0.000)
Li (0.000, 0.000, 0.195)
Li (0.000, 0.000, 0.397)
Li (0.000, 0.000, 0.603)
Li (0.000, 0.000, 0.805)
Tl (0.500, 0.500, 0.098)
Tl (0.500, 0.500, 0.294)
Tl (0.500, 0.500, 0.706)
Tl (0.500, 0.500, 0.902)
Bi (0.500, 0.500, 0.500)

=====

(6)
Structure and calculated X-ray powder pattern of Pm2CuHg8 (DFT lattice parameters and positions (GGA-PBE); a wavelength of 1.5418 Å).

The 10 most intense peaks (15 to 90 degrees two-theta), low angle first:
2θ/deg, I_rel
30.6, 37
34.6, 100
36.0, 20
38.5, 54
53.7, 26
55.5, 19
64.7, 9
66.3, 18
67.1, 30
68.0, 13

Atomic structure:
Cell lengths 4.680, 4.680, 12.475 Å; angles 90.00, 90.00, 90.00 degrees
Fractional positions:
Pm (0.000, 0.000, 0.199)
Pm (0.000, 0.000, 0.801)
Cu (0.000, 0.000, 0.500)
Hg (0.000, 0.500, 0.000)
Hg (0.000, 0.500, 0.377)
Hg (0.000, 0.500, 0.623)
Hg (0.500, 0.000, 0.000)
Hg (0.500, 0.000, 0.377)
Hg (0.500, 0.000, 0.623)
Hg (0.500, 0.500, 0.183)
Hg (0.500, 0.500, 0.817)

=====

(7)
Structure and calculated X-ray powder pattern of La3Dy3Y (DFT lattice parameters and positions (GGA-PBE); a wavelength of 1.5418 Å).

The 10 most intense peaks (15 to 90 degrees two-theta), low angle first:
2θ/deg, I_rel
27.9, 23
30.7, 24
31.9, 100
41.9, 16
49.3, 19
55.3, 21
59.2, 22
59.9, 16
81.2, 13
84.8, 8

Atomic structure:
Cell lengths 9.779, 9.779, 5.824 Å; angles 90.00, 90.00, 120.00 degrees
Fractional positions:
La (0.096, 0.472, 0.250)
La (0.376, 0.904, 0.250)
La (0.472, 0.376, 0.750)
La (0.528, 0.624, 0.250)
La (0.624, 0.096, 0.750)
La (0.904, 0.528, 0.750)
Dy (0.044, 0.232, 0.750)
Dy (0.188, 0.956, 0.750)
Dy (0.232, 0.188, 0.250)
Dy (0.768, 0.812, 0.750)
Dy (0.812, 0.044, 0.250)
Dy (0.956, 0.768, 0.250)
Y (0.333, 0.667, 0.750)
Y (0.667, 0.333, 0.250)

=====

(8)
Structure and calculated X-ray powder pattern of Tb2NiSb4 (DFT lattice parameters and positions (GGA-PBE); a wavelength of 1.5418 Å).

The 10 most intense peaks (15 to 90 degrees two-theta), low angle first:
2θ/deg, I_rel
28.7, 22
30.6, 49
34.9, 100
35.5, 50
41.5, 57
51.2, 17
53.4, 17
55.7, 27
60.2, 19
71.5, 24

Atomic structure:
Cell lengths 4.350, 4.350, 9.336 Å; angles 90.00, 90.00, 90.00 degrees
Fractional positions:
Tb (0.000, 0.500, 0.235)
Tb (0.500, 0.000, 0.765)
Ni (0.000, 0.000, 0.000)
Sb (0.000, 0.000, 0.500)
Sb (0.000, 0.500, 0.869)
Sb (0.500, 0.000, 0.131)
Sb (0.500, 0.500, 0.500)

=====

(9)
Structure and calculated X-ray powder pattern of TlHg5H6 (DFT lattice parameters and positions (GGA-PBE); a wavelength of 1.5418 Å).

The 10 most intense peaks (15 to 90 degrees two-theta), low angle first:
2θ/deg, I_rel
25.9, 100
29.2, 74
29.6, 72
30.4, 69
30.9, 66
37.8, 39
39.4, 34
44.6, 24
46.6, 21
47.4, 20

Atomic structure:
Cell lengths 4.779, 7.257, 7.444 Å; angles 69.46, 75.50, 70.84 degrees
Fractional positions:
Tl (0.000, 0.000, 0.000)
Hg (0.000, 0.500, 0.500)
Hg (0.327, 0.346, 0.000)
Hg (0.331, 0.835, 0.506)
Hg (0.669, 0.165, 0.494)
Hg (0.673, 0.654, 0.000)
H (0.114, 0.773, 0.722)
H (0.222, 0.589, 0.294)
H (0.455, 0.103, 0.712)
H (0.545, 0.897, 0.288)
H (0.778, 0.411, 0.706)
H (0.886, 0.227, 0.278)

=====

(10)
Structure and calculated X-ray powder pattern of Ti12TlBi3 (DFT lattice parameters and positions (GGA-PBE); a wavelength of 1.5418 Å).

The 10 most intense peaks (15 to 90 degrees two-theta), low angle first:
2θ/deg, I_rel
23.8, 81
33.9, 45
38.0, 18
41.8, 100
48.6, 13
54.8, 13
66.0, 52
76.4, 6
81.3, 10
86.2, 13

Atomic structure:
Cell lengths 5.291, 5.291, 10.602 Å; angles 90.00, 90.00, 90.00 degrees
Fractional positions:
Ti (0.000, 0.000, 0.120)
Ti (0.000, 0.000, 0.371)
Ti (0.000, 0.000, 0.629)
Ti (0.000, 0.000, 0.880)
Ti (0.248, 0.500, 0.249)
Ti (0.248, 0.500, 0.751)
Ti (0.500, 0.249, 0.500)
Ti (0.500, 0.252, 0.000)
Ti (0.500, 0.748, 0.000)
Ti (0.500, 0.751, 0.500)
Ti (0.752, 0.500, 0.249)
Ti (0.752, 0.500, 0.751)
Tl (0.000, 0.500, 0.000)
Bi (0.000, 0.500, 0.500)
Bi (0.500, 0.000, 0.250)
Bi (0.500, 0.000, 0.750)

=====

(11)
Structure and calculated X-ray powder pattern of Ac3BeSe6 (DFT lattice parameters and positions (GGA-PBE); a wavelength of 1.5418 Å).

The 10 most intense peaks (15 to 90 degrees two-theta), low angle first:
2θ/deg, I_rel
16.4, 57
22.9, 100
23.2, 45
27.7, 33
30.9, 54
35.5, 68
36.1, 61
36.3, 45
43.7, 24
57.9, 28

Atomic structure:
Cell lengths 9.901, 9.901, 6.519 Å; angles 90.00, 90.00, 102.30 degrees
Fractional positions:
Ac (0.124, 0.876, 0.500)
Ac (0.215, 0.437, 0.568)
Ac (0.437, 0.215, 0.068)
Ac (0.563, 0.785, 0.568)
Ac (0.785, 0.563, 0.068)
Ac (0.876, 0.124, 0.000)
Be (0.305, 0.695, 0.130)
Be (0.695, 0.305, 0.630)
Se (0.090, 0.605, 0.254)
Se (0.148, 0.169, 0.291)
Se (0.169, 0.148, 0.791)
Se (0.284, 0.716, 0.789)
Se (0.395, 0.910, 0.254)
Se (0.447, 0.553, 0.240)
Se (0.553, 0.447, 0.740)
Se (0.605, 0.090, 0.754)
Se (0.716, 0.284, 0.289)
Se (0.831, 0.852, 0.291)
Se (0.852, 0.831, 0.791)
Se (0.910, 0.395, 0.754)

=====

(12)
Structure and calculated X-ray powder pattern of Ac3Sn4Ru2 (DFT lattice parameters and positions (GGA-PBE); a wavelength of 1.5418 Å).

The 10 most intense peaks (15 to 90 degrees two-theta), low angle first:
2θ/deg, I_rel
21.4, 26
29.4, 100
29.7, 78
29.9, 100
30.6, 87
35.2, 36
37.0, 73
38.5, 58
48.8, 49
57.9, 27

Atomic structure:
Cell lengths 6.428, 6.428, 9.055 Å; angles 103.51, 103.51, 44.37 degrees
Fractional positions:
Ac (0.000, 0.000, 0.000)
Ac (0.382, 0.382, 0.309)
Ac (0.618, 0.618, 0.691)
Sn (0.105, 0.105, 0.400)
Sn (0.290, 0.290, 0.912)
Sn (0.710, 0.710, 0.088)
Sn (0.895, 0.895, 0.600)
Ru (0.307, 0.307, 0.622)
Ru (0.693, 0.693, 0.378)